Entry 1:
Ho4S3N: computed powder diffractogram (Cu Kα X-rays), based on a DFT-relaxed cell (GGA-PBE, Alexandria).
Peak positions follow from Bragg's law for the DFT cell and can differ from measured ones.

Atomic structure:
```
Ho4S3N
1.0
5.360 0.000 0.000
0.000 5.360 0.000
0.000 0.000 5.360
Ho S N
4 3 1
Direct
0.000 0.000 0.000
0.000 0.500 0.500
0.500 0.000 0.500
0.500 0.500 0.000
0.000 0.000 0.500
0.000 0.500 0.000
0.500 0.000 0.000
0.500 0.500 0.500
```

Most intense lines, 10 to 80 degrees two-theta, sorted by position:
- 2θ 28.85, rel. 95
- 2θ 33.44, rel. 100
- 2θ 48.01, rel. 71
- 2θ 56.98, rel. 45
- 2θ 59.77, rel. 25
- 2θ 70.25, rel. 11
- 2θ 77.65, rel. 19



Entry 2:
Ho4Sb3N: computed powder diffractogram (Cu Kα X-rays), based on a DFT-relaxed cell (GGA-PBE, Alexandria).
Peak positions follow from Bragg's law for the DFT cell and can differ from measured ones.

Atomic structure:
```
Ho4Sb3N
1.0
9.576 0.000 0.000
0.000 8.498 0.000
0.000 0.000 6.142
Ho Sb N
8 6 2
Direct
0.000 0.091 0.000
0.000 0.819 0.565
0.207 0.695 0.001
0.293 0.305 0.501
0.500 0.181 0.065
0.500 0.909 0.500
0.707 0.305 0.501
0.793 0.695 0.001
0.000 0.158 0.490
0.232 0.337 0.990
0.268 0.663 0.490
0.500 0.842 0.990
0.732 0.663 0.490
0.768 0.337 0.990
0.000 0.822 0.929
0.500 0.178 0.429
```

Most intense lines, 10 to 80 degrees two-theta, sorted by position:
- 2θ 20.91, rel. 44
- 2θ 21.30, rel. 100
- 2θ 29.08, rel. 88
- 2θ 31.59, rel. 30
- 2θ 36.13, rel. 43
- 2θ 36.33, rel. 46
- 2θ 36.87, rel. 62
- 2θ 37.57, rel. 32
- 2θ 38.19, rel. 33
- 2θ 47.62, rel. 51
- 2θ 48.20, rel. 28
- 2θ 60.24, rel. 20



Entry 3:
Ho4Sb2N: computed powder diffractogram (Cu Kα X-rays), based on a DFT-relaxed cell (GGA-PBE, Alexandria).
Peak positions follow from Bragg's law for the DFT cell and can differ from measured ones.

Atomic structure:
```
Ho4Sb2N
1.0
6.022 -1.908 0.000
6.022 1.908 0.000
-3.486 0.000 7.327
Ho Sb N
4 2 1
Direct
0.058 0.058 0.324
0.360 0.360 0.949
0.640 0.640 0.051
0.942 0.942 0.676
0.340 0.340 0.321
0.660 0.660 0.679
0.000 0.000 0.000
```

Most intense lines, 10 to 80 degrees two-theta, sorted by position:
- 2θ 29.15, rel. 68
- 2θ 31.44, rel. 50
- 2θ 32.28, rel. 100
- 2θ 32.41, rel. 28
- 2θ 34.11, rel. 96
- 2θ 35.29, rel. 22
- 2θ 36.80, rel. 47
- 2θ 40.02, rel. 27
- 2θ 47.66, rel. 32
- 2θ 59.13, rel. 30
- 2θ 61.71, rel. 29
- 2θ 62.17, rel. 24



Entry 4:
Sm4Ho2Sb3N2: computed powder diffractogram (Cu Kα X-rays), based on a DFT-relaxed cell (GGA-PBE, Alexandria).
Peak positions follow from Bragg's law for the DFT cell and can differ from measured ones.

Atomic structure:
```
Sm4Ho2Sb3N2
1.0
-2.367 2.367 12.691
2.367 -2.367 12.691
2.367 2.367 -12.691
Sm Ho Sb N
4 2 3 2
Direct
0.084 0.584 0.500
0.416 0.916 0.500
0.584 0.084 0.500
0.916 0.416 0.500
0.193 0.193 0.000
0.807 0.807 0.000
0.319 0.319 0.000
0.500 0.500 0.000
0.681 0.681 0.000
0.107 0.107 0.000
0.893 0.893 0.000
```

Most intense lines, 10 to 80 degrees two-theta, sorted by position:
- 2θ 27.55, rel. 48
- 2θ 28.13, rel. 16
- 2θ 30.18, rel. 20
- 2θ 34.15, rel. 100
- 2θ 35.36, rel. 14
- 2θ 38.01, rel. 54
- 2θ 47.95, rel. 15
- 2θ 52.88, rel. 18
- 2θ 54.84, rel. 19
- 2θ 62.46, rel. 10
- 2θ 65.05, rel. 14
- 2θ 66.22, rel. 31



Entry 5:
Ho2ScN3: computed powder diffractogram (Cu Kα X-rays), based on a DFT-relaxed cell (GGA-PBE, Alexandria).
Peak positions follow from Bragg's law for the DFT cell and can differ from measured ones.

Atomic structure:
```
Ho2ScN3
1.0
-1.683 2.391 5.054
1.683 -2.391 5.054
1.683 2.391 -5.054
Ho Sc N
2 1 3
Direct
0.165 0.165 0.000
0.835 0.835 0.000
0.500 0.500 0.000
0.000 0.500 0.500
0.341 0.841 0.500
0.659 0.159 0.500
```

Most intense lines, 10 to 80 degrees two-theta, sorted by position:
- 2θ 17.55, rel. 12
- 2θ 20.55, rel. 20
- 2θ 27.94, rel. 10
- 2θ 32.52, rel. 100
- 2θ 37.20, rel. 9
- 2θ 37.62, rel. 26
- 2θ 37.78, rel. 52
- 2θ 54.40, rel. 43
- 2θ 54.52, rel. 9
- 2θ 64.71, rel. 15
- 2θ 64.91, rel. 29
- 2θ 68.11, rel. 17



Entry 6:
Ho2SiN3: computed powder diffractogram (Cu Kα X-rays), based on a DFT-relaxed cell (GGA-PBE, Alexandria).
Peak positions follow from Bragg's law for the DFT cell and can differ from measured ones.

Atomic structure:
```
Ho2SiN3
1.0
2.616 -5.165 0.000
2.616 5.165 0.000
-0.582 0.000 11.251
Ho Si N
8 4 12
Direct
0.030 0.430 0.356
0.122 0.348 0.930
0.348 0.122 0.430
0.430 0.030 0.856
0.570 0.970 0.144
0.652 0.878 0.570
0.878 0.652 0.070
0.970 0.570 0.644
0.267 0.267 0.165
0.267 0.267 0.665
0.733 0.733 0.335
0.733 0.733 0.835
0.004 0.996 0.750
0.128 0.324 0.539
0.143 0.474 0.136
0.324 0.128 0.039
0.411 0.589 0.750
0.474 0.143 0.636
0.526 0.857 0.364
0.589 0.411 0.250
0.676 0.872 0.961
0.857 0.526 0.864
0.872 0.676 0.461
0.996 0.004 0.250
```

Most intense lines, 10 to 80 degrees two-theta, sorted by position:
- 2θ 24.22, rel. 35
- 2θ 25.37, rel. 44
- 2θ 29.43, rel. 30
- 2θ 29.88, rel. 58
- 2θ 31.29, rel. 41
- 2θ 31.88, rel. 93
- 2θ 32.36, rel. 49
- 2θ 34.32, rel. 100
- 2θ 34.63, rel. 58
- 2θ 35.46, rel. 64
- 2θ 35.67, rel. 36
- 2θ 43.89, rel. 51



Entry 7:
Sm3HoN4: computed powder diffractogram (Cu Kα X-rays), based on a DFT-relaxed cell (GGA-PBE, Alexandria).
Peak positions follow from Bragg's law for the DFT cell and can differ from measured ones.

Atomic structure:
```
Sm3HoN4
1.0
6.155 0.000 0.000
0.000 7.114 0.000
-2.050 0.000 5.803
Sm Ho N
6 2 8
Direct
0.000 0.125 0.250
0.000 0.372 0.750
0.000 0.628 0.250
0.000 0.875 0.750
0.500 0.373 0.250
0.500 0.627 0.750
0.500 0.125 0.750
0.500 0.875 0.250
0.252 0.369 0.504
0.252 0.631 0.004
0.256 0.124 0.999
0.256 0.876 0.499
0.744 0.124 0.501
0.744 0.876 0.001
0.748 0.369 0.996
0.748 0.631 0.496
```

Most intense lines, 10 to 80 degrees two-theta, sorted by position:
- 2θ 30.81, rel. 100
- 2θ 35.72, rel. 73
- 2θ 51.41, rel. 50
- 2θ 61.14, rel. 45
- 2θ 64.17, rel. 17
- 2θ 75.67, rel. 8



Entry 8:
Sm3HoN4: computed powder diffractogram (Cu Kα X-rays), based on a DFT-relaxed cell (GGA-PBE, Alexandria).
Peak positions follow from Bragg's law for the DFT cell and can differ from measured ones.

Atomic structure:
```
Sm3HoN4
1.0
5.029 0.000 0.000
0.000 5.029 0.000
0.000 0.000 5.029
Sm Ho N
3 1 4
Direct
0.000 0.000 0.500
0.000 0.500 0.000
0.500 0.000 0.000
0.500 0.500 0.500
0.000 0.000 0.000
0.000 0.500 0.500
0.500 0.000 0.500
0.500 0.500 0.000
```

Most intense lines, 10 to 80 degrees two-theta, sorted by position:
- 2θ 30.79, rel. 100
- 2θ 35.70, rel. 73
- 2θ 51.39, rel. 50
- 2θ 61.11, rel. 45
- 2θ 64.14, rel. 17
- 2θ 75.63, rel. 8



Entry 9:
Sm2HoThN4: computed powder diffractogram (Cu Kα X-rays), based on a DFT-relaxed cell (GGA-PBE, Alexandria).
Peak positions follow from Bragg's law for the DFT cell and can differ from measured ones.

Atomic structure:
```
Sm2HoThN4
1.0
6.179 0.000 0.000
0.000 3.584 0.000
-2.048 0.000 5.845
Sm Ho Th N
2 1 1 4
Direct
0.000 0.000 0.000
0.500 0.500 0.000
0.000 0.500 0.500
0.500 0.000 0.500
0.247 0.000 0.740
0.251 0.500 0.258
0.749 0.500 0.742
0.753 0.000 0.260
```

Most intense lines, 10 to 80 degrees two-theta, sorted by position:
- 2θ 15.17, rel. 4
- 2θ 30.61, rel. 100
- 2θ 35.45, rel. 47
- 2θ 35.58, rel. 23
- 2θ 51.03, rel. 33
- 2θ 51.15, rel. 16
- 2θ 60.64, rel. 23
- 2θ 60.75, rel. 11
- 2θ 60.86, rel. 11
- 2θ 63.69, rel. 13
- 2θ 63.85, rel. 4
- 2θ 75.01, rel. 5



Entry 10:
Ho4TlSnN: computed powder diffractogram (Cu Kα X-rays), based on a DFT-relaxed cell (GGA-PBE, Alexandria).
Peak positions follow from Bragg's law for the DFT cell and can differ from measured ones.

Atomic structure:
```
Ho4TlSnN
1.0
3.313 -7.978 0.000
3.313 7.978 0.000
0.000 0.000 6.625
Ho Tl Sn N
8 2 2 2
Direct
0.000 0.500 0.000
0.000 0.500 0.500
0.088 0.912 0.750
0.410 0.590 0.750
0.500 0.000 0.000
0.500 0.000 0.500
0.590 0.410 0.250
0.912 0.088 0.250
0.109 0.891 0.250
0.891 0.109 0.750
0.391 0.609 0.250
0.609 0.391 0.750
0.251 0.749 0.750
0.749 0.251 0.250
```

Most intense lines, 10 to 80 degrees two-theta, sorted by position:
- 2θ 11.09, rel. 11
- 2θ 26.92, rel. 17
- 2θ 29.19, rel. 67
- 2θ 33.70, rel. 30
- 2θ 35.22, rel. 100
- 2θ 38.43, rel. 59
- 2θ 52.03, rel. 36
- 2θ 55.47, rel. 23
- 2θ 63.92, rel. 15
- 2θ 64.86, rel. 18
- 2θ 66.51, rel. 17
- 2θ 67.44, rel. 31



Entry 11:
SrHoN: computed powder diffractogram (Cu Kα X-rays), based on a DFT-relaxed cell (GGA-PBE, Alexandria).
Peak positions follow from Bragg's law for the DFT cell and can differ from measured ones.

Atomic structure:
```
SrHoN
1.0
13.166 0.000 0.000
0.000 1.780 3.081
0.000 -1.780 3.081
Sr Ho N
2 2 2
Direct
0.112 0.000 0.000
0.888 0.000 0.000
0.389 0.346 0.346
0.611 0.346 0.346
0.000 0.333 0.333
0.500 0.014 0.014
```

Most intense lines, 10 to 80 degrees two-theta, sorted by position:
- 2θ 13.45, rel. 16
- 2θ 27.09, rel. 43
- 2θ 28.97, rel. 48
- 2θ 29.77, rel. 100
- 2θ 35.59, rel. 38
- 2θ 40.08, rel. 30
- 2θ 45.30, rel. 61
- 2θ 51.35, rel. 30
- 2θ 59.01, rel. 30
- 2θ 60.49, rel. 14
- 2θ 70.85, rel. 16
- 2θ 71.37, rel. 15